No. 1
This entry pairs a crystal structure of K7Se4NO16 with its calculated X-ray powder pattern. Radiation: Cu Kα (λ = 1.5418 Å). Structure: a crystal structure in Alexandria, relaxed with PBE.
Peak positions follow from Bragg's law for the DFT cell and can differ from measured ones.

Top 8 peaks for 2θ = 10–80°, by angle:
2θ 19.86, I = 43.2, hkl 1 1 -1
2θ 19.99, I = 61.5, hkl 1 0 -2
2θ 20.23, I = 32.1, hkl 1 0 2
2θ 21.93, I = 34.1, hkl 2 0 0
2θ 27.57, I = 55.2, hkl 2 1 -1
2θ 27.71, I = 45.5, hkl 2 1 1
2θ 28.83, I = 61.0, hkl 0 2 0
2θ 29.27, I = 100.0, hkl 0 1 3

Atomic structure:
abc: 8.1071 6.1943 10.5203
angles: 90.00 90.64 90.00
Space group Pm (No. 6)
Unique sites:
K 0.0000 0.0000 0.0000 (multiplicity 1)
K 0.0057 0.5000 0.5258 (multiplicity 1)
K 0.2127 0.5000 0.1929 (multiplicity 1)
K 0.3151 0.0000 0.7026 (multiplicity 1)
K 0.5048 0.0000 0.0601 (multiplicity 1)
K 0.5307 0.5000 0.4764 (multiplicity 1)
K 0.7040 0.5000 0.8258 (multiplicity 1)
Se 0.2363 0.5000 0.8537 (multiplicity 1)
Se 0.3019 0.0000 0.3594 (multiplicity 1)
Se 0.7400 0.5000 0.1587 (multiplicity 1)
Se 0.7799 0.0000 0.6807 (multiplicity 1)
N 0.8720 0.0000 0.3436 (multiplicity 1)
O 0.0424 0.5000 0.7954 (multiplicity 1)
O 0.2126 0.0000 0.2151 (multiplicity 1)
O 0.2522 0.2226 0.4417 (multiplicity 2)
O 0.2635 0.2787 0.9437 (multiplicity 2)
O 0.3702 0.5000 0.7335 (multiplicity 1)
O 0.5074 0.0000 0.3405 (multiplicity 1)
O 0.5493 0.5000 0.2188 (multiplicity 1)
O 0.6527 0.0000 0.8055 (multiplicity 1)
O 0.7472 0.2271 0.5983 (multiplicity 2)
O 0.7617 0.2835 0.0647 (multiplicity 2)
O 0.8851 0.5000 0.2731 (multiplicity 1)
O 0.9782 0.0000 0.7311 (multiplicity 1)

No. 2
This entry pairs a crystal structure of CaNd5Mg6 with its calculated X-ray powder pattern. Radiation: Cu Kα (λ = 1.5418 Å). Structure: a crystal structure in Alexandria, relaxed with PBE.
Peak positions follow from Bragg's law for the DFT cell and can differ from measured ones.

Top 8 peaks for 2θ = 10–80°, by angle:
2θ 22.81, I = 53.4, hkl 1 3 0
2θ 32.47, I = 100.0, hkl 2 0 0
2θ 40.05, I = 16.5, hkl 2 0 2
2θ 46.64, I = 12.0, hkl 2 6 0
2θ 52.52, I = 15.1, hkl 3 3 0
2θ 57.91, I = 25.1, hkl 2 0 4
2θ 57.99, I = 12.5, hkl 3 3 2
2θ 77.48, I = 10.5, hkl 4 6 0

Atomic structure:
abc: 5.5056 16.5329 7.8145
angles: 90.00 90.00 90.00
Space group Cmmm (No. 65)
Unique sites:
Ca 0.0000 0.0000 0.0000 (multiplicity 2)
Nd 0.0000 0.0000 0.5000 (multiplicity 2)
Nd 0.0000 0.3335 0.0000 (multiplicity 4)
Nd 0.0000 0.3327 0.5000 (multiplicity 4)
Mg 0.0000 0.1670 0.2514 (multiplicity 8)
Mg 0.0000 0.5000 0.2527 (multiplicity 4)

No. 3
This entry pairs a crystal structure of Ac2Nd2Tl3 with its calculated X-ray powder pattern. Radiation: Cu Kα (λ = 1.5418 Å). Structure: a crystal structure in Alexandria, relaxed with PBE.
Peak positions follow from Bragg's law for the DFT cell and can differ from measured ones.

Top 8 peaks for 2θ = 10–80°, by angle:
2θ 28.69, I = 60.1, hkl 0 2 -1
2θ 29.29, I = 100.0, hkl -1 1 1
2θ 32.46, I = 27.2, hkl 0 1 3
2θ 33.46, I = 44.1, hkl 1 0 2
2θ 33.54, I = 40.4, hkl 1 1 -2
2θ 35.82, I = 12.6, hkl 0 2 3
2θ 37.08, I = 22.1, hkl 0 3 2
2θ 46.30, I = 18.9, hkl 2 1 0

Atomic structure:
abc: 3.9224 8.0148 8.3192
angles: 75.58 89.92 75.93
Space group P-1 (No. 2)
Unique sites:
Ac 0.2051 0.0909 0.1862 (multiplicity 2)
Nd 0.0660 0.3685 0.7338 (multiplicity 2)
Tl 0.3857 0.7285 0.5477 (multiplicity 2)
Tl 0.5000 0.5000 0.0000 (multiplicity 1)

No. 4
This entry pairs a crystal structure of AcTi3Be4O12 with its calculated X-ray powder pattern. Radiation: Cu Kα (λ = 1.5418 Å). Structure: a crystal structure in Alexandria, relaxed with PBE.
Peak positions follow from Bragg's law for the DFT cell and can differ from measured ones.

Top 8 peaks for 2θ = 10–80°, by angle:
2θ 15.56, I = 71.2, hkl 1 0 1
2θ 17.60, I = 50.6, hkl 1 1 0
2θ 23.57, I = 100.0, hkl 0 2 1
2θ 29.57, I = 41.6, hkl 2 1 1
2θ 31.41, I = 81.5, hkl 2 0 2
2θ 35.63, I = 27.6, hkl 2 2 0
2θ 36.23, I = 35.4, hkl 1 2 2
2θ 39.09, I = 28.9, hkl 1 3 1

Atomic structure:
abc: 10.0798 10.0798 7.5167
angles: 90.00 90.00 120.00
Space group R32 (No. 155, hexagonal axes)
Unique sites:
Ac 0.0000 0.0000 0.0000 (multiplicity 3)
Ti 0.0000 0.5577 0.0000 (multiplicity 9)
Be 0.0000 0.0000 0.5000 (multiplicity 3)
Be 0.0000 0.4372 0.5000 (multiplicity 9)
O 0.0000 0.5906 0.5000 (multiplicity 9)
O 0.0000 0.8450 0.5000 (multiplicity 9)
O 0.0461 0.2259 0.1922 (multiplicity 18)

No. 5
This entry pairs a crystal structure of SmPb3F8 with its calculated X-ray powder pattern. Radiation: Cu Kα (λ = 1.5418 Å). Structure: a crystal structure in Alexandria, relaxed with PBE.
Peak positions follow from Bragg's law for the DFT cell and can differ from measured ones.

Top 8 peaks for 2θ = 10–80°, by angle:
2θ 25.84, I = 100.0, hkl 1 1 1
2θ 29.92, I = 32.7, hkl 2 0 0
2θ 42.83, I = 55.9, hkl 2 2 0
2θ 50.70, I = 49.3, hkl 3 1 1
2θ 53.13, I = 10.2, hkl 2 2 2
2θ 68.48, I = 20.6, hkl 3 3 1
2θ 70.52, I = 14.4, hkl 4 2 0
2θ 78.46, I = 17.7, hkl 4 2 2

Atomic structure:
abc: 5.9719 5.9719 5.9719
angles: 90.00 90.00 90.00
Space group Pm-3m (No. 221)
Unique sites:
Sm 0.0000 0.0000 0.0000 (multiplicity 1)
Pb 0.0000 0.5000 0.5000 (multiplicity 3)
F 0.2277 0.2277 0.2277 (multiplicity 8)

No. 6
This entry pairs a crystal structure of Yb3Mg4H14 with its calculated X-ray powder pattern. Radiation: Cu Kα (λ = 1.5418 Å). Structure: a crystal structure in Alexandria, relaxed with PBE.
Peak positions follow from Bragg's law for the DFT cell and can differ from measured ones.

Top 8 peaks for 2θ = 10–80°, by angle:
2θ 13.43, I = 100.0, hkl 0 0 1
2θ 27.05, I = 29.3, hkl 0 0 2
2θ 27.77, I = 43.9, hkl 1 1 0
2θ 30.97, I = 95.1, hkl 1 1 1
2θ 35.01, I = 23.8, hkl 2 0 1
2θ 39.16, I = 40.7, hkl 1 1 2
2θ 50.31, I = 22.1, hkl 1 1 3
2θ 61.74, I = 21.3, hkl 3 1 1

Atomic structure:
abc: 6.4246 6.4246 6.5927
angles: 90.00 90.00 120.00
Space group P-62m (No. 189)
Unique sites:
Yb 0.0000 0.6018 0.0000 (multiplicity 3)
Mg 0.0000 0.0000 0.3047 (multiplicity 2)
Mg 0.3333 0.6667 0.5000 (multiplicity 2)
H 0.0000 0.2285 0.0000 (multiplicity 3)
H 0.0000 0.2312 0.5000 (multiplicity 3)
H 0.0000 0.6010 0.3278 (multiplicity 6)
H 0.3333 0.6667 0.0000 (multiplicity 2)

No. 7
This entry pairs a crystal structure of PmSmAlSn with its calculated X-ray powder pattern. Radiation: Cu Kα (λ = 1.5418 Å). Structure: a crystal structure in Alexandria, relaxed with PBE.
Peak positions follow from Bragg's law for the DFT cell and can differ from measured ones.

Top 8 peaks for 2θ = 10–80°, by angle:
2θ 23.05, I = 16.1, hkl 1 0 1
2θ 31.03, I = 16.1, hkl 0 1 3
2θ 33.02, I = 100.0, hkl 1 1 2
2θ 33.27, I = 20.9, hkl 0 0 4
2θ 37.22, I = 19.0, hkl 0 2 0
2θ 50.77, I = 13.0, hkl 0 2 4
2θ 59.29, I = 12.4, hkl 1 1 6
2θ 64.46, I = 14.6, hkl 1 3 2

Atomic structure:
abc: 4.1331 4.8311 10.7725
angles: 90.00 90.00 90.00
Space group Imm2 (No. 44)
Unique sites:
Pm 0.0000 0.0000 0.0000 (multiplicity 2)
Sm 0.0000 0.5000 0.7650 (multiplicity 2)
Al 0.0000 0.0000 0.5389 (multiplicity 2)
Sn 0.0000 0.5000 0.2262 (multiplicity 2)

No. 8
This entry pairs a crystal structure of Nd6Te3PtS2 with its calculated X-ray powder pattern. Radiation: Cu Kα (λ = 1.5418 Å). Structure: a crystal structure in Alexandria, relaxed with PBE.
Peak positions follow from Bragg's law for the DFT cell and can differ from measured ones.

Top 8 peaks for 2θ = 10–80°, by angle:
2θ 29.22, I = 100.0, hkl 2 0 -2
2θ 41.37, I = 34.4, hkl 1 3 -3
2θ 42.22, I = 38.1, hkl 0 6 0
2θ 52.16, I = 19.7, hkl 2 6 -2
2θ 60.63, I = 7.5, hkl 2 6 2
2θ 68.03, I = 8.5, hkl 3 3 -5
2θ 69.24, I = 11.2, hkl 5 3 -3
2θ 76.63, I = 7.4, hkl 1 9 -3

Atomic structure:
abc: 7.4203 12.8366 7.6169
angles: 90.00 109.04 90.00
Space group C2/m (No. 12)
Unique sites:
Nd 0.2381 0.1666 0.2185 (multiplicity 8)
Nd 0.2396 0.5000 0.2200 (multiplicity 4)
Te 0.0000 0.1685 0.5000 (multiplicity 4)
Te 0.0000 0.5000 0.5000 (multiplicity 2)
Pt 0.0000 0.0000 0.0000 (multiplicity 2)
S 0.0000 0.3343 0.0000 (multiplicity 4)

No. 9
This entry pairs a crystal structure of UF5 with its calculated X-ray powder pattern. Radiation: Cu Kα (λ = 1.5418 Å). Structure: a crystal structure in Alexandria, relaxed with PBE.
Peak positions follow from Bragg's law for the DFT cell and can differ from measured ones.

Top 8 peaks for 2θ = 10–80°, by angle:
2θ 15.46, I = 100.0, hkl 1 1 1
2θ 21.79, I = 62.4, hkl 1 3 1
2θ 21.99, I = 83.0, hkl 4 0 0
2θ 24.31, I = 46.0, hkl 2 4 0
2θ 24.57, I = 23.3, hkl 4 2 0
2θ 31.23, I = 40.6, hkl 2 2 2
2θ 35.01, I = 20.9, hkl 5 3 1
2θ 41.82, I = 19.4, hkl 7 1 1

Atomic structure:
abc: 16.1475 16.4309 6.6059
angles: 90.00 90.00 90.00
Space group Fdd2 (No. 43)
Unique sites:
U 0.0955 0.1687 0.0000 (multiplicity 16)
F 0.0042 0.2553 0.4939 (multiplicity 16)
F 0.0266 0.3905 0.3221 (multiplicity 16)
F 0.0586 0.1215 0.2653 (multiplicity 16)
F 0.1095 0.0328 0.9000 (multiplicity 16)
F 0.1109 0.4600 0.9848 (multiplicity 16)

No. 10
This entry pairs a crystal structure of SrSi3 with its calculated X-ray powder pattern. Radiation: Cu Kα (λ = 1.5418 Å). Structure: a crystal structure in Alexandria, relaxed with PBE.
Peak positions follow from Bragg's law for the DFT cell and can differ from measured ones.

Top 8 peaks for 2θ = 10–80°, by angle:
2θ 22.52, I = 26.2, hkl 1 0 0
2θ 27.59, I = 87.0, hkl 1 0 1
2θ 35.90, I = 100.0, hkl 1 1 1
2θ 39.30, I = 48.7, hkl 1 0 2
2θ 45.98, I = 34.1, hkl 2 0 0
2θ 54.46, I = 25.2, hkl 2 1 1
2θ 59.32, I = 21.2, hkl 1 1 3
2θ 62.04, I = 24.9, hkl 2 1 2

Atomic structure:
abc: 3.9479 3.9479 5.6320
angles: 90.00 90.00 90.00
Space group P4mm (No. 99)
Unique sites:
Sr 0.0000 0.0000 0.0000 (multiplicity 1)
Si 0.0000 0.5000 0.5373 (multiplicity 2)
Si 0.5000 0.5000 0.2689 (multiplicity 1)

No. 11
This entry pairs a crystal structure of LaTm6Co2 with its calculated X-ray powder pattern. Radiation: Cu Kα (λ = 1.5418 Å). Structure: a crystal structure in Alexandria, relaxed with PBE.
Peak positions follow from Bragg's law for the DFT cell and can differ from measured ones.

Top 8 peaks for 2θ = 10–80°, by angle:
2θ 29.84, I = 27.6, hkl 3 1 0
2θ 31.83, I = 100.0, hkl 2 2 2
2θ 34.07, I = 37.3, hkl 1 3 2
2θ 34.23, I = 23.2, hkl 2 1 3
2θ 34.51, I = 29.3, hkl 2 3 1
2θ 35.06, I = 21.7, hkl 3 2 1
2θ 57.86, I = 20.3, hkl 2 5 3
2θ 59.51, I = 19.8, hkl 5 3 2

Atomic structure:
abc: 9.4277 9.8374 9.9781
angles: 90.00 90.00 90.00
Space group Immm (No. 71)
Unique sites:
La 0.0000 0.0000 0.0000 (multiplicity 2)
La 0.0000 0.0000 0.5000 (multiplicity 2)
Tm 0.0000 0.2228 0.2377 (multiplicity 8)
Tm 0.1845 0.5000 0.1794 (multiplicity 8)
Tm 0.2092 0.3127 0.5000 (multiplicity 8)
Co 0.0000 0.3254 0.0000 (multiplicity 4)
Co 0.0000 0.5000 0.3862 (multiplicity 4)